# 1
Structure and theoretical X-ray powder pattern of ZnInCu5 (a structure optimized by DFT (GGA-PBE); Cu Ka).
Peak positions follow from Bragg's law for the DFT cell and can differ from measured ones.

Atomic structure:
a b c (Å): 4.6616 4.6616 5.1353
angles (deg): 90.00 90.00 112.37
Positions (direct):
Zn  0.0000  0.0000  0.0000
In  0.5000  0.5000  0.5000
Cu  0.0000  0.0000  0.5000
Cu  0.0000  0.5000  0.2396
Cu  0.0000  0.5000  0.7604
Cu  0.5000  0.0000  0.2396
Cu  0.5000  0.0000  0.7604

Most intense lines, 2θ = 10–80°, sorted by position:
| Position (°2θ) | d [Å] | intensity |
| --- | --- | --- |
| 17.27 | 5.135 | 16 |
| 27.01 | 3.302 | 33 |
| 28.87 | 3.092 | 17 |
| 41.91 | 2.155 | 100 |
| 42.23 | 2.140 | 97 |
| 42.91 | 2.108 | 9 |
| 46.92 | 1.936 | 36 |
| 49.98 | 1.825 | 58 |
| 70.97 | 1.328 | 37 |
| 72.93 | 1.297 | 9 |


# 2
Structure and theoretical X-ray powder pattern of Cd2SnO4 (a structure optimized by DFT (GGA-PBE); Cu Ka).
Peak positions follow from Bragg's law for the DFT cell and can differ from measured ones.

Atomic structure:
a b c (Å): 5.6615 10.1338 3.2456
angles (deg): 90.00 90.00 90.00
Positions (direct):
Cd  0.0597  0.1762  0.0000
Cd  0.4403  0.6762  0.0000
Cd  0.5597  0.3238  0.0000
Cd  0.9403  0.8238  0.0000
Sn  0.0000  0.5000  0.5000
Sn  0.5000  0.0000  0.5000
O  0.1344  0.6919  0.5000
O  0.2353  0.4610  0.0000
O  0.2647  0.9610  0.0000
O  0.3656  0.1919  0.5000
O  0.6344  0.8081  0.5000
O  0.7353  0.0390  0.0000
O  0.7647  0.5390  0.0000
O  0.8656  0.3081  0.5000

Most intense lines, 2θ = 10–80°, sorted by position:
| Position (°2θ) | d [Å] | intensity |
| --- | --- | --- |
| 30.82 | 2.901 | 100 |
| 31.61 | 2.831 | 30 |
| 32.79 | 2.731 | 46 |
| 33.02 | 2.713 | 84 |
| 43.34 | 2.088 | 23 |
| 46.17 | 1.966 | 42 |
| 54.32 | 1.689 | 13 |
| 55.90 | 1.645 | 32 |
| 56.73 | 1.623 | 15 |
| 65.96 | 1.416 | 24 |


# 3
Structure and theoretical X-ray powder pattern of Mg3Si2H4O9 (a structure optimized by DFT (GGA-PBE); Cu Ka).
Peak positions follow from Bragg's law for the DFT cell and can differ from measured ones.

Atomic structure:
a b c (Å): 5.3691 5.3691 14.8279
angles (deg): 90.00 90.00 120.00
Positions (direct):
Mg  0.0000  0.3311  0.0000
Mg  0.0000  0.6689  0.5000
Mg  0.3311  0.0000  0.0000
Mg  0.3311  0.3311  0.5000
Mg  0.6689  0.0000  0.5000
Mg  0.6689  0.6689  0.0000
Si  0.3333  0.6667  0.3104
Si  0.3333  0.6667  0.8104
Si  0.6667  0.3333  0.3104
Si  0.6667  0.3333  0.8104
H  0.0000  0.0000  0.3598
H  0.0000  0.0000  0.8598
H  0.0000  0.3492  0.6314
H  0.0000  0.6508  0.1314
H  0.3492  0.0000  0.6314
H  0.3492  0.3492  0.1314
H  0.6508  0.0000  0.1314
H  0.6508  0.6508  0.6314
O  0.0000  0.0000  0.4251
O  0.0000  0.0000  0.9251
O  0.0000  0.3358  0.5661
O  0.0000  0.4862  0.7691
O  0.0000  0.5138  0.2691
O  0.0000  0.6642  0.0661
O  0.3333  0.6667  0.4189
O  0.3333  0.6667  0.9189
O  0.3358  0.0000  0.5661
O  0.3358  0.3358  0.0661
O  0.4862  0.0000  0.7691
O  0.4862  0.4862  0.2691
O  0.5138  0.0000  0.2691
O  0.5138  0.5138  0.7691
O  0.6642  0.0000  0.0661
O  0.6642  0.6642  0.5661
O  0.6667  0.3333  0.4189
O  0.6667  0.3333  0.9189

Most intense lines, 2θ = 10–80°, sorted by position:
| Position (°2θ) | d [Å] | intensity |
| --- | --- | --- |
| 11.94 | 7.414 | 100 |
| 19.09 | 4.650 | 40 |
| 22.57 | 3.939 | 52 |
| 24.01 | 3.707 | 59 |
| 35.57 | 2.524 | 94 |
| 38.15 | 2.359 | 26 |
| 41.53 | 2.174 | 22 |
| 45.58 | 1.990 | 35 |
| 59.66 | 1.550 | 33 |
| 60.72 | 1.525 | 19 |


# 4
Structure and theoretical X-ray powder pattern of U3SnSe8 (a structure optimized by DFT (GGA-PBE); Cu Ka).
Peak positions follow from Bragg's law for the DFT cell and can differ from measured ones.

Atomic structure:
a b c (Å): 8.3105 8.3105 13.2231
angles (deg): 90.00 90.00 120.00
Positions (direct):
U  0.1660  0.3321  0.0000
U  0.1660  0.8340  0.0000
U  0.3321  0.1660  0.5000
U  0.6679  0.8340  0.0000
U  0.8340  0.1660  0.5000
U  0.8340  0.6679  0.5000
Sn  0.3333  0.6667  0.2461
Sn  0.6667  0.3333  0.7461
Se  0.0000  0.0000  0.1141
Se  0.0000  0.0000  0.6141
Se  0.0184  0.5092  0.1173
Se  0.1571  0.3141  0.3911
Se  0.1571  0.8429  0.3911
Se  0.3141  0.1571  0.8911
Se  0.3333  0.6667  0.8871
Se  0.4908  0.5092  0.1173
Se  0.4908  0.9816  0.1173
Se  0.5092  0.0184  0.6173
Se  0.5092  0.4908  0.6173
Se  0.6667  0.3333  0.3871
Se  0.6859  0.8429  0.3911
Se  0.8429  0.1571  0.8911
Se  0.8429  0.6859  0.8911
Se  0.9816  0.4908  0.6173

Most intense lines, 2θ = 10–80°, sorted by position:
| Position (°2θ) | d [Å] | intensity |
| --- | --- | --- |
| 13.39 | 6.612 | 85 |
| 14.01 | 6.321 | 64 |
| 25.32 | 3.518 | 34 |
| 25.66 | 3.472 | 39 |
| 28.23 | 3.161 | 63 |
| 32.11 | 2.788 | 100 |
| 36.92 | 2.434 | 35 |
| 42.42 | 2.131 | 53 |
| 43.56 | 2.078 | 67 |
| 73.17 | 1.293 | 27 |


# 5
Structure and theoretical X-ray powder pattern of Ca2AcGe (a structure optimized by DFT (GGA-PBE); Cu Ka).
Peak positions follow from Bragg's law for the DFT cell and can differ from measured ones.

Atomic structure:
a b c (Å): 3.6831 3.6831 9.8631
angles (deg): 90.00 90.00 90.00
Positions (direct):
Ca  0.0000  0.0000  0.1813
Ca  0.0000  0.0000  0.8187
Ac  0.5000  0.5000  0.5000
Ge  0.5000  0.5000  0.0000

Most intense lines, 2θ = 10–80°, sorted by position:
| Position (°2θ) | d [Å] | intensity |
| --- | --- | --- |
| 17.99 | 4.932 | 40 |
| 24.16 | 3.683 | 31 |
| 25.82 | 3.450 | 39 |
| 30.29 | 2.951 | 100 |
| 34.44 | 2.604 | 42 |
| 39.12 | 2.303 | 24 |
| 44.20 | 2.049 | 28 |
| 51.01 | 1.791 | 16 |
| 59.14 | 1.562 | 30 |
| 68.51 | 1.370 | 15 |


# 6
Structure and theoretical X-ray powder pattern of LaNpS2O (a structure optimized by DFT (GGA-PBE); Cu Ka).
Peak positions follow from Bragg's law for the DFT cell and can differ from measured ones.

Atomic structure:
a b c (Å): 3.9780 3.9780 13.8380
angles (deg): 90.00 90.00 90.00
Positions (direct):
La  0.2500  0.2500  0.0923
La  0.7500  0.7500  0.9077
Np  0.2500  0.2500  0.6109
Np  0.7500  0.7500  0.3891
S  0.2500  0.2500  0.4076
S  0.2500  0.2500  0.7955
S  0.7500  0.7500  0.2045
S  0.7500  0.7500  0.5924
O  0.2500  0.7500  0.0000
O  0.7500  0.2500  0.0000

Most intense lines, 2θ = 10–80°, sorted by position:
| Position (°2θ) | d [Å] | intensity |
| --- | --- | --- |
| 12.79 | 6.919 | 11 |
| 25.82 | 3.451 | 100 |
| 31.81 | 2.813 | 45 |
| 34.36 | 2.610 | 16 |
| 41.37 | 2.182 | 29 |
| 45.46 | 1.995 | 14 |
| 45.61 | 1.989 | 19 |
| 51.22 | 1.783 | 11 |
| 53.14 | 1.723 | 35 |
| 72.58 | 1.303 | 9 |


# 7
Structure and theoretical X-ray powder pattern of PmPbClO2 (a structure optimized by DFT (GGA-PBE); Cu Ka).
Peak positions follow from Bragg's law for the DFT cell and can differ from measured ones.

Atomic structure:
a b c (Å): 6.9022 4.0436 8.3922
angles (deg): 90.00 108.92 90.00
Positions (direct):
Pm  0.1679  0.2500  0.4210
Pm  0.8321  0.7500  0.5790
Pb  0.1812  0.2500  0.9260
Pb  0.8188  0.7500  0.0740
Cl  0.4516  0.7500  0.6607
Cl  0.5484  0.2500  0.3393
O  0.9996  0.2500  0.6216
O  0.0004  0.7500  0.3784
O  0.0132  0.2500  0.1313
O  0.9868  0.7500  0.8687

Most intense lines, 2θ = 10–80°, sorted by position:
| Position (°2θ) | d [Å] | intensity |
| --- | --- | --- |
| 13.56 | 6.529 | 59 |
| 22.40 | 3.969 | 26 |
| 25.92 | 3.438 | 100 |
| 29.25 | 3.054 | 57 |
| 29.90 | 2.989 | 46 |
| 31.38 | 2.851 | 41 |
| 31.58 | 2.833 | 53 |
| 35.34 | 2.540 | 45 |
| 46.36 | 1.959 | 29 |
| 47.08 | 1.930 | 29 |


# 8
Structure and theoretical X-ray powder pattern of MoSI (a structure optimized by DFT (GGA-PBE); Cu Ka).
Peak positions follow from Bragg's law for the DFT cell and can differ from measured ones.

Atomic structure:
a b c (Å): 6.2408 3.5270 7.4587
angles (deg): 90.00 91.89 90.00
Positions (direct):
Mo  0.1656  0.2500  0.0144
Mo  0.8344  0.7500  0.9856
S  0.0876  0.7500  0.2232
S  0.9124  0.2500  0.7768
I  0.4202  0.7500  0.7851
I  0.5798  0.2500  0.2149

Most intense lines, 2θ = 10–80°, sorted by position:
| Position (°2θ) | d [Å] | intensity |
| --- | --- | --- |
| 11.87 | 7.455 | 100 |
| 27.99 | 3.188 | 15 |
| 28.30 | 3.154 | 12 |
| 31.33 | 2.855 | 45 |
| 31.46 | 2.844 | 16 |
| 37.65 | 2.389 | 28 |
| 38.25 | 2.353 | 20 |
| 38.54 | 2.336 | 25 |
| 40.76 | 2.214 | 12 |
| 47.44 | 1.916 | 22 |


# 9
Structure and theoretical X-ray powder pattern of Sc2TlHg3 (a structure optimized by DFT (GGA-PBE); Cu Ka).
Peak positions follow from Bragg's law for the DFT cell and can differ from measured ones.

Atomic structure:
a b c (Å): 3.6280 3.6280 10.7160
angles (deg): 90.00 90.00 90.00
Positions (direct):
Sc  0.0000  0.0000  0.1625
Sc  0.0000  0.0000  0.8375
Tl  0.0000  0.0000  0.5000
Hg  0.5000  0.5000  0.0000
Hg  0.5000  0.5000  0.3073
Hg  0.5000  0.5000  0.6927

Most intense lines, 2θ = 10–80°, sorted by position:
| Position (°2θ) | d [Å] | intensity |
| --- | --- | --- |
| 24.54 | 3.628 | 17 |
| 25.93 | 3.436 | 14 |
| 29.74 | 3.004 | 15 |
| 34.98 | 2.565 | 57 |
| 35.26 | 2.545 | 100 |
| 49.17 | 1.853 | 9 |
| 50.30 | 1.814 | 21 |
| 62.91 | 1.477 | 38 |
| 63.46 | 1.466 | 13 |
| 74.56 | 1.273 | 8 |


# 10
Structure and theoretical X-ray powder pattern of Nd2Sm2Y6Ho (a structure optimized by DFT (GGA-PBE); Cu Ka).
Peak positions follow from Bragg's law for the DFT cell and can differ from measured ones.

Atomic structure:
a b c (Å): 6.7031 6.7031 10.6122
angles (deg): 90.00 90.00 129.56
Positions (direct):
Nd  0.1314  0.8686  0.0000
Nd  0.8686  0.1314  0.0000
Sm  0.2089  0.7911  0.5000
Sm  0.7911  0.2089  0.5000
Y  0.0000  0.0000  0.2985
Y  0.0000  0.0000  0.7015
Y  0.3485  0.6515  0.2047
Y  0.3485  0.6515  0.7953
Y  0.6515  0.3485  0.2047
Y  0.6515  0.3485  0.7953
Ho  0.5000  0.5000  0.5000

Most intense lines, 2θ = 10–80°, sorted by position:
| Position (°2θ) | d [Å] | intensity |
| --- | --- | --- |
| 30.64 | 2.917 | 63 |
| 31.32 | 2.856 | 41 |
| 31.94 | 2.802 | 100 |
| 33.79 | 2.653 | 18 |
| 44.40 | 2.040 | 20 |
| 46.73 | 1.944 | 15 |
| 52.64 | 1.739 | 13 |
| 56.14 | 1.638 | 27 |
| 61.80 | 1.501 | 17 |
| 62.55 | 1.485 | 16 |


# 11
Structure and theoretical X-ray powder pattern of Y4TeAs3 (a structure optimized by DFT (GGA-PBE); Cu Ka).
Peak positions follow from Bragg's law for the DFT cell and can differ from measured ones.

Atomic structure:
a b c (Å): 4.1666 5.9322 8.3987
angles (deg): 90.00 90.00 90.00
Positions (direct):
Y  0.0000  0.0000  0.0000
Y  0.0000  0.0000  0.5000
Y  0.5000  0.5000  0.2294
Y  0.5000  0.5000  0.7706
Te  0.0000  0.5000  0.5000
As  0.0000  0.5000  0.0000
As  0.5000  0.0000  0.2508
As  0.5000  0.0000  0.7492

Most intense lines, 2θ = 10–80°, sorted by position:
| Position (°2θ) | d [Å] | intensity |
| --- | --- | --- |
| 30.19 | 2.961 | 100 |
| 43.08 | 2.100 | 12 |
| 43.20 | 2.094 | 49 |
| 43.44 | 2.083 | 12 |
| 53.47 | 1.714 | 12 |
| 53.77 | 1.705 | 13 |
| 71.09 | 1.326 | 15 |
| 71.25 | 1.323 | 10 |
| 79.06 | 1.211 | 11 |
| 79.56 | 1.205 | 8 |


# 12
Structure and theoretical X-ray powder pattern of ScTi2N2 (a structure optimized by DFT (GGA-PBE); Cu Ka).
Peak positions follow from Bragg's law for the DFT cell and can differ from measured ones.

Atomic structure:
a b c (Å): 5.4694 5.4694 5.4694
angles (deg): 146.76 135.37 56.76
Positions (direct):
Sc  0.0000  0.0000  0.0000
Ti  0.3100  0.3100  0.0000
Ti  0.6900  0.6900  0.0000
N  0.1674  0.6674  0.5000
N  0.8326  0.3326  0.5000

Most intense lines, 2θ = 10–80°, sorted by position:
| Position (°2θ) | d [Å] | intensity |
| --- | --- | --- |
| 18.44 | 4.812 | 27 |
| 35.35 | 2.539 | 65 |
| 35.94 | 2.499 | 73 |
| 40.26 | 2.240 | 100 |
| 43.59 | 2.077 | 43 |
| 52.82 | 1.733 | 13 |
| 59.05 | 1.564 | 15 |
| 60.83 | 1.523 | 50 |
| 70.74 | 1.332 | 16 |
| 76.19 | 1.249 | 13 |